Structure and calculated X-ray diffraction stick pattern of K2CrAgO4 (a DFT-relaxed cell (PBE+U, Alexandria); Cu Kα X-rays).
No peak broadening, texture or thermal motion is included.

Main lines, low angle first (5° ≤ 2θ ≤ 70°):
2θ (°)	I (rel.)
18.8	44
28.4	56
32.2	100
34.3	15
40.7	26
52.8	47
59.6	17
66.6	14
67.3	11
68.7	9

Structural model:
a b c (Å): 5.6967 5.6967 5.6967
angles (deg): 113.15 113.15 102.34
Element x y z (fractional)
K: 0.0000 0.0000 0.0000
K: 0.7500 0.2500 0.5000
Cr: 0.2500 0.7500 0.5000
Ag: 0.5000 0.5000 0.0000
O: 0.2565 0.7158 0.1859
O: 0.2842 0.4701 0.5406
O: 0.5299 0.0705 0.8141
O: 0.9295 0.7435 0.4594